# 1
Structure and computed powder diffractogram of Cs2K2O (a structure optimized by DFT (PBE); Cu Kα X-rays).
Lines closer than 0.1° are merged.

Structural model:
```
data_Cs2K2O
_symmetry_space_group_name_H-M 'P b a m'
_symmetry_Int_Tables_number 55
_symmetry_space_group_name_Hall '-P 2 2ab'
_cell_length_a 7.9620
_cell_length_b 16.0951
_cell_length_c 4.3321
_cell_angle_alpha 90.00
_cell_angle_beta 90.00
_cell_angle_gamma 90.00
loop_
_atom_site_label
_atom_site_fract_x
_atom_site_fract_y
_atom_site_fract_z
Cs1 0.2364 0.1311 0.0000
K1 0.1673 0.9285 0.5000
O1 0.0000 0.0000 0.0000
```

Most intense lines, 2θ from 10° to 80°, in order of rising 2θ:
15.66 deg, I = 66; 20.50 deg, I = 17; 22.09 deg, I = 25; 22.33 deg, I = 29; 25.90 deg, I = 100; 30.32 deg, I = 16; 31.62 deg, I = 23; 35.31 deg, I = 18; 37.98 deg, I = 24; 41.45 deg, I = 18


# 2
Structure and computed powder diffractogram of CsKOsO4 (a structure optimized by DFT (PBE); Cu Kα X-rays).
Lines closer than 0.1° are merged.

Structural model:
```
data_CsKOsO4
_symmetry_space_group_name_H-M 'F -4 3 m'
_symmetry_Int_Tables_number 216
_symmetry_space_group_name_Hall 'F -4 2 3'
_cell_length_a 9.9205
_cell_length_b 9.9205
_cell_length_c 9.9205
_cell_angle_alpha 90.00
_cell_angle_beta 90.00
_cell_angle_gamma 90.00
loop_
_atom_site_label
_atom_site_fract_x
_atom_site_fract_y
_atom_site_fract_z
Cs1 0.0000 0.0000 0.0000
K1 0.2500 0.2500 0.7500
Os1 0.0000 0.0000 0.5000
O1 0.1053 0.1053 0.6053
```

Most intense lines, 2θ from 10° to 80°, in order of rising 2θ:
15.47 deg, I = 19; 17.88 deg, I = 74; 25.39 deg, I = 100; 31.23 deg, I = 24; 40.67 deg, I = 30; 44.75 deg, I = 41; 52.16 deg, I = 17; 55.58 deg, I = 17; 58.88 deg, I = 18; 71.12 deg, I = 22


# 3
Structure and computed powder diffractogram of CsK2Pa2O7 (a structure optimized by DFT (PBE); Cu Kα X-rays).
Lines closer than 0.1° are merged.

Structural model:
```
data_CsK2Pa2O7
_symmetry_space_group_name_H-M 'I 4/m m m'
_symmetry_Int_Tables_number 139
_symmetry_space_group_name_Hall '-I 4 2'
_cell_length_a 4.5139
_cell_length_b 4.5139
_cell_length_c 21.9092
_cell_angle_alpha 90.00
_cell_angle_beta 90.00
_cell_angle_gamma 90.00
loop_
_atom_site_label
_atom_site_fract_x
_atom_site_fract_y
_atom_site_fract_z
Cs1 0.0000 0.0000 0.0000
K1 0.0000 0.5000 0.2500
Pa1 0.0000 0.0000 0.3988
O1 0.0000 0.0000 0.3066
O2 0.0000 0.0000 0.5000
O3 0.0000 0.5000 0.1020
```

Most intense lines, 2θ from 10° to 80°, in order of rising 2θ:
20.08 deg, I = 56; 23.16 deg, I = 51; 27.95 deg, I = 43; 28.39 deg, I = 100; 29.14 deg, I = 34; 39.95 deg, I = 43; 46.68 deg, I = 16; 49.73 deg, I = 45; 50.53 deg, I = 30; 58.73 deg, I = 17


# 4
Structure and computed powder diffractogram of CsKPaO4 (a structure optimized by DFT (PBE); Cu Kα X-rays).
Lines closer than 0.1° are merged.

Structural model:
```
data_CsKPaO4
_symmetry_space_group_name_H-M 'I 4 m m'
_symmetry_Int_Tables_number 107
_symmetry_space_group_name_Hall 'I 4 -2'
_cell_length_a 4.4704
_cell_length_b 4.4704
_cell_length_c 14.6519
_cell_angle_alpha 90.00
_cell_angle_beta 90.00
_cell_angle_gamma 90.00
loop_
_atom_site_label
_atom_site_fract_x
_atom_site_fract_y
_atom_site_fract_z
Cs1 0.0000 0.0000 0.0000
K1 0.0000 0.0000 0.7016
Pa1 0.0000 0.0000 0.3379
O1 0.0000 0.0000 0.2001
O2 0.0000 0.0000 0.4759
O3 0.0000 0.5000 0.3348
```

Most intense lines, 2θ from 10° to 80°, in order of rising 2θ:
12.08 deg, I = 50; 20.77 deg, I = 42; 27.04 deg, I = 100; 28.23 deg, I = 55; 36.67 deg, I = 14; 36.81 deg, I = 15; 40.35 deg, I = 28; 47.02 deg, I = 22; 49.25 deg, I = 40; 55.72 deg, I = 26